[1]
Diffraction record for Sr4PdPt3. The powder X-ray diffraction pattern is theoretical, not measured: it uses a DFT-relaxed cell (PBE, Alexandria) and copper Kα.

Crystal structure
a b c (Å): 4.2760 4.5308 11.1837
angles (deg): 90.00 90.00 90.00
Fractional positions:
1 Sr 0.0000 0.0000 0.0000
2 Sr 0.0000 0.5000 0.2785
3 Sr 0.5000 0.0000 0.4938
4 Sr 0.5000 0.5000 0.7784
5 Pd 0.0000 0.0000 0.7077
6 Pt 0.0000 0.5000 0.5662
7 Pt 0.5000 0.0000 0.2093
8 Pt 0.5000 0.5000 0.0660

Top 8 peaks for 10° ≤ 2θ ≤ 80°, in order of falling intensity:
d/Å	I/Imax
2.388	100
2.996	89
2.379	46
3.994	42
5.592	40
2.265	33
2.138	28
1.590	27

[2]
Diffraction record for CrCo6Ge. The powder X-ray diffraction pattern is theoretical, not measured: it uses a DFT-relaxed cell (PBE, Alexandria) and copper Kα.

Crystal structure
a b c (Å): 6.0713 6.0713 9.9482
angles (deg): 90.00 90.00 109.59
Fractional positions:
1 Cr 0.0000 0.0000 0.2472
2 Cr 0.0000 0.0000 0.7528
3 Cr 0.2452 0.7548 0.5000
4 Cr 0.7548 0.2452 0.5000
5 Co 0.0000 0.0000 0.0000
6 Co 0.0000 0.0000 0.5000
7 Co 0.1193 0.3728 0.3783
8 Co 0.1193 0.3728 0.6217
9 Co 0.1218 0.3682 0.1285
10 Co 0.1218 0.3682 0.8715
11 Co 0.2470 0.7530 0.2562
12 Co 0.2470 0.7530 0.7438
13 Co 0.3682 0.1218 0.1285
14 Co 0.3682 0.1218 0.8715
15 Co 0.3728 0.1193 0.3783
16 Co 0.3728 0.1193 0.6217
17 Co 0.5000 0.5000 0.0000
18 Co 0.5000 0.5000 0.5000
19 Co 0.6272 0.8807 0.3783
20 Co 0.6272 0.8807 0.6217
21 Co 0.6318 0.8782 0.1285
22 Co 0.6318 0.8782 0.8715
23 Co 0.7530 0.2470 0.2562
24 Co 0.7530 0.2470 0.7438
25 Co 0.8782 0.6318 0.1285
26 Co 0.8782 0.6318 0.8715
27 Co 0.8807 0.6272 0.3783
28 Co 0.8807 0.6272 0.6217
29 Ge 0.2489 0.7511 0.0000
30 Ge 0.5000 0.5000 0.2499
31 Ge 0.5000 0.5000 0.7501
32 Ge 0.7511 0.2489 0.0000

Top 5 peaks for 10° ≤ 2θ ≤ 80°, in order of falling intensity:
d/Å	I/Imax
2.026	100
1.756	31
1.240	22
1.750	15
1.244	4

[3]
Diffraction record for Ba2HfRe. The powder X-ray diffraction pattern is theoretical, not measured: it uses a DFT-relaxed cell (PBE, Alexandria) and copper Kα.

Crystal structure
a b c (Å): 12.0763 12.0763 5.0217
angles (deg): 90.00 90.00 90.00
Fractional positions:
1 Ba 0.0731 0.2500 0.1250
2 Ba 0.2500 0.5731 0.3750
3 Ba 0.2500 0.9269 0.8750
4 Ba 0.4269 0.2500 0.6250
5 Ba 0.5731 0.7500 0.6250
6 Ba 0.7500 0.0731 0.8750
7 Ba 0.7500 0.4269 0.3750
8 Ba 0.9269 0.7500 0.1250
9 Hf 0.0000 0.0000 0.5000
10 Hf 0.0000 0.5000 0.7500
11 Hf 0.5000 0.0000 0.2500
12 Hf 0.5000 0.5000 0.0000
13 Re 0.0000 0.0000 0.0000
14 Re 0.0000 0.5000 0.2500
15 Re 0.5000 0.0000 0.7500
16 Re 0.5000 0.5000 0.5000

Top 8 peaks for 10° ≤ 2θ ≤ 80°, in order of falling intensity:
d/Å	I/Imax
6.038	100
2.700	68
3.019	42
2.098	39
3.678	32
2.409	31
3.819	26
1.723	25

> Number 3 is which compound?

Ba2HfRe

What did the second record say?
Diffraction record for CrCo6Ge. The powder X-ray diffraction pattern is theoretical, not measured: it uses a DFT-relaxed cell (PBE, Alexandria) and copper Kα.

Crystal structure
a b c (Å): 6.0713 6.0713 9.9482
angles (deg): 90.00 90.00 109.59
Fractional positions:
1 Cr 0.0000 0.0000 0.2472
2 Cr 0.0000 0.0000 0.7528
3 Cr 0.2452 0.7548 0.5000
4 Cr 0.7548 0.2452 0.5000
5 Co 0.0000 0.0000 0.0000
6 Co 0.0000 0.0000 0.5000
7 Co 0.1193 0.3728 0.3783
8 Co 0.1193 0.3728 0.6217
9 Co 0.1218 0.3682 0.1285
10 Co 0.1218 0.3682 0.8715
11 Co 0.2470 0.7530 0.2562
12 Co 0.2470 0.7530 0.7438
13 Co 0.3682 0.1218 0.1285
14 Co 0.3682 0.1218 0.8715
15 Co 0.3728 0.1193 0.3783
16 Co 0.3728 0.1193 0.6217
17 Co 0.5000 0.5000 0.0000
18 Co 0.5000 0.5000 0.5000
19 Co 0.6272 0.8807 0.3783
20 Co 0.6272 0.8807 0.6217
21 Co 0.6318 0.8782 0.1285
22 Co 0.6318 0.8782 0.8715
23 Co 0.7530 0.2470 0.2562
24 Co 0.7530 0.2470 0.7438
25 Co 0.8782 0.6318 0.1285
26 Co 0.8782 0.6318 0.8715
27 Co 0.8807 0.6272 0.3783
28 Co 0.8807 0.6272 0.6217
29 Ge 0.2489 0.7511 0.0000
30 Ge 0.5000 0.5000 0.2499
31 Ge 0.5000 0.5000 0.7501
32 Ge 0.7511 0.2489 0.0000

Top 5 peaks for 10° ≤ 2θ ≤ 80°, in order of falling intensity:
d/Å	I/Imax
2.026	100
1.756	31
1.240	22
1.750	15
1.244	4

> Which formula does entry 2 have?

CrCo6Ge